Record 1
For In2Si2O7, a structure optimized by DFT (GGA-PBE) gives the theoretical powder diffraction line list in this record (copper Kα).
Lines closer than 0.1° are merged.

Atomic structure:
```
data_In2Si2O7
_cell_length_a 6.7202
_cell_length_b 8.7558
_cell_length_c 4.7637
_cell_angle_alpha 90.00
_cell_angle_beta 102.88
_cell_angle_gamma 90.00
_symmetry_space_group_name_H-M 'C 1 2/m 1'
_symmetry_Int_Tables_number 12
loop_
_symmetry_equiv_pos_as_xyz
'x,y,z'
'-x,-y,-z'
'-x,y,-z'
'x,-y,z'
'x+1/2,y+1/2,z'
'-x+1/2,-y+1/2,-z'
'-x+1/2,y+1/2,-z'
'x+1/2,-y+1/2,z'
loop_
_atom_site_label
_atom_site_type_symbol
_atom_site_fract_x
_atom_site_fract_y
_atom_site_fract_z
In1 In 0.0000 0.1917 0.0000
Si1 Si 0.2192 0.5000 0.4092
O1 O 0.0000 0.5000 0.5000
O2 O 0.1103 0.0000 0.2841
O3 O 0.2339 0.3446 0.2182
```

Main lines, by angle (2θ = 10–80°):
d = 5.245 Å, 16.90 deg, rel. 315; d = 4.644 Å, 19.11 deg, rel. 571; d = 3.205 Å, 27.84 deg, rel. 365; d = 3.185 Å, 28.01 deg, rel. 1000; d = 3.012 Å, 29.66 deg, rel. 628; d = 2.666 Å, 33.62 deg, rel. 399; d = 2.623 Å, 34.19 deg, rel. 296; d = 2.226 Å, 40.52 deg, rel. 323; d = 1.917 Å, 47.44 deg, rel. 205; d = 1.677 Å, 54.73 deg, rel. 230

---

Record 2
For In15SnO24, a structure optimized by DFT (GGA-PBE) gives the theoretical powder diffraction line list in this record (copper Kα).
Lines closer than 0.1° are merged.

Atomic structure:
```
data_In15SnO24
_cell_length_a 14.5784
_cell_length_b 10.3195
_cell_length_c 10.3225
_cell_angle_alpha 90.00
_cell_angle_beta 134.91
_cell_angle_gamma 90.00
_symmetry_space_group_name_H-M 'C 1 2 1'
_symmetry_Int_Tables_number 5
loop_
_symmetry_equiv_pos_as_xyz
'x,y,z'
'-x,y,-z'
'x+1/2,y+1/2,z'
'-x+1/2,y+1/2,-z'
loop_
_atom_site_label
_atom_site_type_symbol
_atom_site_fract_x
_atom_site_fract_y
_atom_site_fract_z
In1 In 0.0000 0.0000 0.0000
In2 In 0.0000 0.0673 0.5000
In3 In 0.0000 0.5000 0.0000
In4 In 0.0331 0.2837 0.2829
In5 In 0.0337 0.7846 0.7845
In6 In 0.2488 0.0340 0.4652
In7 In 0.2494 0.2842 0.2495
In8 In 0.2504 0.0328 0.9664
In9 In 0.2498 0.2839 0.7511
Sn1 Sn 0.0000 0.5689 0.5000
O1 O 0.1056 0.4213 0.5141
O2 O 0.1101 0.6515 0.0122
O3 O 0.1103 0.9144 0.7061
O4 O 0.1117 0.1512 0.2072
O5 O 0.1130 0.6855 0.4785
O6 O 0.1182 0.1872 0.7587
O7 O 0.1181 0.3787 0.9790
O8 O 0.1199 0.8785 0.2603
O9 O 0.1485 0.6372 0.7759
O10 O 0.1544 0.1471 0.5220
O11 O 0.1543 0.4233 0.2888
O12 O 0.1540 0.9240 0.0220
```

Main lines, by angle (2θ = 10–80°):
d = 4.214 Å, 21.08 deg, rel. 114; d = 2.980 Å, 29.99 deg, rel. 1000; d = 2.581 Å, 34.76 deg, rel. 305; d = 2.433 Å, 36.95 deg, rel. 55; d = 2.025 Å, 44.76 deg, rel. 76; d = 1.825 Å, 49.97 deg, rel. 320; d = 1.822 Å, 50.05 deg, rel. 64; d = 1.675 Å, 54.82 deg, rel. 45; d = 1.557 Å, 59.37 deg, rel. 189; d = 1.555 Å, 59.44 deg, rel. 95

---

Record 3
For In2Sn2O7, a structure optimized by DFT (GGA-PBE) gives the theoretical powder diffraction line list in this record (copper Kα).
Lines closer than 0.1° are merged.

Atomic structure:
Cell lengths 10.3858, 10.3858, 10.3858 Å; angles 90.00, 90.00, 90.00 degrees
Space group Fd-3m (No. 227, origin choice 2)
Unique sites:
In  0.0000  0.0000  0.0000 x16
Sn  0.0000  0.0000  0.5000 x16
O  0.0918  0.3750  0.8750 x48
O  0.1250  0.1250  0.1250 x8

Main lines, by angle (2θ = 10–80°):
d = 3.131 Å, 28.50 deg, rel. 6; d = 2.998 Å, 29.80 deg, rel. 1000; d = 2.596 Å, 34.54 deg, rel. 307; d = 2.383 Å, 37.76 deg, rel. 6; d = 1.836 Å, 49.66 deg, rel. 501; d = 1.566 Å, 58.99 deg, rel. 434; d = 1.499 Å, 61.90 deg, rel. 93; d = 1.298 Å, 72.86 deg, rel. 73

---

Record 4
For In15SnO24, a structure optimized by DFT (GGA-PBE) gives the theoretical powder diffraction line list in this record (copper Kα).
Lines closer than 0.1° are merged.

Atomic structure:
```
data_In15SnO24
_cell_length_a 14.5802
_cell_length_b 14.5802
_cell_length_c 8.9674
_cell_angle_alpha 90.00
_cell_angle_beta 90.00
_cell_angle_gamma 120.00
_symmetry_space_group_name_H-M 'R -3'
_symmetry_Int_Tables_number 148
_symmetry_space_group_name_Hall '-R 3'
loop_
_atom_site_label
_atom_site_type_symbol
_atom_site_fract_x
_atom_site_fract_y
_atom_site_fract_z
In1 In 0.0000 0.5000 0.0000
In2 In 0.0119 0.2393 0.0230
In3 In 0.0714 0.8943 0.6436
Sn1 Sn 0.0000 0.0000 0.0000
O1 O 0.0011 0.7298 0.7368
O2 O 0.0105 0.5275 0.7532
O3 O 0.0634 0.8989 0.3920
O4 O 0.0703 0.1470 0.8838
```

Main lines, by angle (2θ = 10–80°):
d = 4.215 Å, 21.08 deg, rel. 153; d = 2.989 Å, 29.89 deg, rel. 336; d = 2.978 Å, 30.01 deg, rel. 1000; d = 2.581 Å, 34.76 deg, rel. 408; d = 2.434 Å, 36.94 deg, rel. 72; d = 2.027 Å, 44.70 deg, rel. 63; d = 1.828 Å, 49.89 deg, rel. 257; d = 1.823 Å, 50.05 deg, rel. 255; d = 1.559 Å, 59.26 deg, rel. 94; d = 1.556 Å, 59.42 deg, rel. 286

---

Record 5
For SrIn2O4, a structure optimized by DFT (GGA-PBE) gives the theoretical powder diffraction line list in this record (copper Kα).
Lines closer than 0.1° are merged.

Atomic structure:
```
data_SrIn2O4
_cell_length_a 9.9703
_cell_length_b 3.3209
_cell_length_c 11.6649
_cell_angle_alpha 90.00
_cell_angle_beta 90.00
_cell_angle_gamma 90.00
_symmetry_space_group_name_H-M 'P n m a'
_symmetry_Int_Tables_number 62
loop_
_symmetry_equiv_pos_as_xyz
'x,y,z'
'-x,-y,-z'
'-x+1/2,-y,z+1/2'
'x+1/2,y,-z+1/2'
'x+1/2,-y+1/2,-z+1/2'
'-x+1/2,y+1/2,z+1/2'
'-x,y+1/2,-z'
'x,-y+1/2,z'
loop_
_atom_site_label
_atom_site_type_symbol
_atom_site_fract_x
_atom_site_fract_y
_atom_site_fract_z
Sr1 Sr 0.2440 0.2500 0.1517
In1 In 0.0698 0.2500 0.3885
In2 In 0.0812 0.2500 0.8935
O1 O 0.0238 0.7500 0.7822
O2 O 0.0816 0.2500 0.5741
O3 O 0.1211 0.7500 0.0211
O4 O 0.2065 0.7500 0.3310
```

Main lines, by angle (2θ = 10–80°):
d = 2.916 Å, 30.66 deg, rel. 428; d = 2.888 Å, 30.97 deg, rel. 921; d = 2.769 Å, 32.33 deg, rel. 1000; d = 2.448 Å, 36.71 deg, rel. 175; d = 2.006 Å, 45.20 deg, rel. 302; d = 1.994 Å, 45.50 deg, rel. 192; d = 1.661 Å, 55.31 deg, rel. 256; d = 1.646 Å, 55.87 deg, rel. 203; d = 1.443 Å, 64.57 deg, rel. 233; d = 1.439 Å, 64.77 deg, rel. 223

---

Record 6
For Sr3UIn2O9, a structure optimized by DFT (GGA-PBE) gives the theoretical powder diffraction line list in this record (copper Kα).
Lines closer than 0.1° are merged.

Atomic structure:
```
data_Sr3UIn2O9
_cell_length_a 8.3931
_cell_length_b 6.0159
_cell_length_c 19.5894
_cell_angle_alpha 90.00
_cell_angle_beta 115.31
_cell_angle_gamma 90.00
_symmetry_space_group_name_H-M 'P 1 21/c 1'
_symmetry_Int_Tables_number 14
loop_
_symmetry_equiv_pos_as_xyz
'x,y,z'
'-x,-y,-z'
'-x,y+1/2,-z+1/2'
'x,-y+1/2,z+1/2'
loop_
_atom_site_label
_atom_site_type_symbol
_atom_site_fract_x
_atom_site_fract_y
_atom_site_fract_z
Sr1 Sr 0.0769 0.0351 0.3395
Sr2 Sr 0.2296 0.5492 0.5021
Sr3 Sr 0.3912 0.0455 0.6544
U1 U 0.3342 0.0002 0.8320
In1 In 0.0000 0.0000 0.5000
In2 In 0.1685 0.5031 0.6673
In3 In 0.5000 0.0000 0.5000
O1 O 0.1134 0.2068 0.0712
O2 O 0.1213 0.0253 0.8606
O3 O 0.1375 0.7058 0.1010
O4 O 0.1945 0.2002 0.7375
O5 O 0.2178 0.7130 0.7683
O6 O 0.2319 0.5368 0.9746
O7 O 0.4408 0.2139 0.3963
O8 O 0.4592 0.0278 0.2008
O9 O 0.4782 0.6949 0.4264
```

Main lines, by angle (2θ = 10–80°):
d = 4.208 Å, 21.11 deg, rel. 241; d = 3.008 Å, 29.70 deg, rel. 250; d = 2.973 Å, 30.05 deg, rel. 1000; d = 2.952 Å, 30.28 deg, rel. 240; d = 2.107 Å, 42.93 deg, rel. 253; d = 2.098 Å, 43.11 deg, rel. 134; d = 1.730 Å, 52.93 deg, rel. 186; d = 1.721 Å, 53.23 deg, rel. 105; d = 1.708 Å, 53.65 deg, rel. 277; d = 1.487 Å, 62.47 deg, rel. 139

---

Record 7
For Ta3InO9, a structure optimized by DFT (GGA-PBE) gives the theoretical powder diffraction line list in this record (copper Kα).
Lines closer than 0.1° are merged.

Atomic structure:
```
data_Ta3InO9
_cell_length_a 5.1966
_cell_length_b 7.4905
_cell_length_c 8.3717
_cell_angle_alpha 90.00
_cell_angle_beta 92.24
_cell_angle_gamma 90.00
_symmetry_space_group_name_H-M 'P 1 21/m 1'
_symmetry_Int_Tables_number 11
loop_
_symmetry_equiv_pos_as_xyz
'x,y,z'
'-x,-y,-z'
'-x,y+1/2,-z'
'x,-y+1/2,z'
loop_
_atom_site_label
_atom_site_type_symbol
_atom_site_fract_x
_atom_site_fract_y
_atom_site_fract_z
Ta1 Ta 0.0000 0.0000 0.0000
Ta2 Ta 0.4707 0.0066 0.6948
In1 In 0.0286 0.2500 0.4403
O1 O 0.1001 0.2500 0.9752
O2 O 0.1492 0.5681 0.7858
O3 O 0.2549 0.5508 0.4715
O4 O 0.3282 0.2500 0.6506
O5 O 0.3293 0.5550 0.1210
O6 O 0.4009 0.2500 0.3193
```

Main lines, by angle (2θ = 10–80°):
d = 4.337 Å, 20.48 deg, rel. 417; d = 3.745 Å, 23.76 deg, rel. 811; d = 3.321 Å, 26.84 deg, rel. 1000; d = 3.197 Å, 27.91 deg, rel. 686; d = 3.037 Å, 29.41 deg, rel. 413; d = 2.876 Å, 31.09 deg, rel. 410; d = 2.835 Å, 31.56 deg, rel. 759; d = 2.789 Å, 32.09 deg, rel. 438; d = 2.596 Å, 34.55 deg, rel. 495; d = 2.485 Å, 36.15 deg, rel. 411

---

Record 8
For Ta3InO9, a structure optimized by DFT (GGA-PBE) gives the theoretical powder diffraction line list in this record (copper Kα).
Lines closer than 0.1° are merged.

Atomic structure:
```
data_Ta3InO9
_cell_length_a 6.3994
_cell_length_b 7.6401
_cell_length_c 12.7166
_cell_angle_alpha 90.00
_cell_angle_beta 90.00
_cell_angle_gamma 90.00
_symmetry_space_group_name_H-M 'P n m a'
_symmetry_Int_Tables_number 62
loop_
_symmetry_equiv_pos_as_xyz
'x,y,z'
'-x,-y,-z'
'-x+1/2,-y,z+1/2'
'x+1/2,y,-z+1/2'
'x+1/2,-y+1/2,-z+1/2'
'-x+1/2,y+1/2,z+1/2'
'-x,y+1/2,-z'
'x,-y+1/2,z'
loop_
_atom_site_label
_atom_site_type_symbol
_atom_site_fract_x
_atom_site_fract_y
_atom_site_fract_z
Ta1 Ta 0.0000 0.0000 0.0000
Ta2 Ta 0.2060 0.0026 0.2869
In1 In 0.0525 0.2500 0.5475
O1 O 0.0157 0.0408 0.1562
O2 O 0.0954 0.7500 0.0224
O3 O 0.1006 0.0363 0.6669
O4 O 0.1671 0.2500 0.3258
O5 O 0.2054 0.5490 0.4631
O6 O 0.2109 0.7500 0.2989
```

Main lines, by angle (2θ = 10–80°):
d = 3.820 Å, 23.29 deg, rel. 763; d = 3.275 Å, 27.23 deg, rel. 268; d = 3.177 Å, 28.08 deg, rel. 1000; d = 2.858 Å, 31.30 deg, rel. 893; d = 2.847 Å, 31.42 deg, rel. 308; d = 2.594 Å, 34.58 deg, rel. 409; d = 2.289 Å, 39.37 deg, rel. 379; d = 1.910 Å, 47.61 deg, rel. 300; d = 1.780 Å, 51.32 deg, rel. 264; d = 1.588 Å, 58.08 deg, rel. 490